No. 1
Computed X-ray powder pattern of TbTlCu for λ = 1.5418 Å (Cu Kα), from the PBE geometry in Alexandria.
Lines closer than 0.1° are merged.

Structure:
Cell lengths 4.5244, 4.5245, 6.7788 Å; angles 90.00, 90.22, 90.00 degrees
Fractional coordinates of all 6 atoms:
1 Tb 0.2481 0.2500 0.2068
2 Tb 0.7519 0.7500 0.7932
3 Tl 0.2511 0.2500 0.7363
4 Tl 0.7489 0.7500 0.2637
5 Cu 0.2508 0.7500 0.5002
6 Cu 0.7492 0.2500 0.4998

The 8 most intense peaks (5 to 70 degrees two-theta), most intense first:
two_theta	d_spacing	I_rel
27.89	3.199	100
39.85	2.262	90
38.65	2.330	83
38.76	2.323	82
26.29	3.389	48
57.62	1.600	30
48.34	1.883	29
65.21	1.431	19

=====

No. 2
Computed X-ray powder pattern of Tb4TmCu4 for λ = 1.5418 Å (Cu Kα), from the PBE geometry in Alexandria.
Lines closer than 0.1° are merged.

Structure:
Cell lengths 8.5043, 8.5043, 6.0101 Å; angles 90.00, 90.00, 90.00 degrees
Fractional coordinates of all 18 atoms:
1 Tb 0.0492 0.6635 0.1497
2 Tb 0.1635 0.9508 0.6497
3 Tb 0.3365 0.5492 0.6497
4 Tb 0.4508 0.8365 0.1497
5 Tb 0.5492 0.1635 0.8503
6 Tb 0.6635 0.4508 0.3503
7 Tb 0.8365 0.0492 0.3503
8 Tb 0.9508 0.3365 0.8503
9 Tm 0.2500 0.2500 0.2500
10 Tm 0.7500 0.7500 0.7500
11 Cu 0.0199 0.6239 0.6188
12 Cu 0.1239 0.9801 0.1188
13 Cu 0.3761 0.5199 0.1188
14 Cu 0.4801 0.8761 0.6188
15 Cu 0.5199 0.1239 0.3812
16 Cu 0.6239 0.4801 0.8812
17 Cu 0.8761 0.0199 0.8812
18 Cu 0.9801 0.3761 0.3812

The 8 most intense peaks (5 to 70 degrees two-theta), most intense first:
two_theta	d_spacing	I_rel
33.32	2.689	100
27.76	3.214	75
31.58	2.833	43
38.17	2.358	35
47.83	1.902	33
49.10	1.855	28
56.21	1.637	27
53.92	1.701	17

=====

No. 3
Computed X-ray powder pattern of Tb5TmCu6 for λ = 1.5418 Å (Cu Kα), from the PBE geometry in Alexandria.
Lines closer than 0.1° are merged.

Structure:
Cell lengths 7.8014, 7.8014, 6.8902 Å; angles 90.00, 90.00, 143.15 degrees
Fractional coordinates of all 12 atoms:
1 Tb 0.0000 0.0000 0.0000
2 Tb 0.3327 0.6673 0.0000
3 Tb 0.3340 0.6660 0.5000
4 Tb 0.6660 0.3340 0.5000
5 Tb 0.6673 0.3327 0.0000
6 Tm 0.0000 0.0000 0.5000
7 Cu 0.1647 0.8353 0.2519
8 Cu 0.1647 0.8353 0.7481
9 Cu 0.5000 0.5000 0.2549
10 Cu 0.5000 0.5000 0.7451
11 Cu 0.8353 0.1647 0.2519
12 Cu 0.8353 0.1647 0.7481

The 8 most intense peaks (5 to 70 degrees two-theta), most intense first:
two_theta	d_spacing	I_rel
36.66	2.451	100
36.43	2.466	51
65.71	1.421	35
25.54	3.488	20
52.47	1.744	18
66.17	1.412	17
25.86	3.445	9
45.22	2.005	9

=====

No. 4
Computed X-ray powder pattern of Tb2Tm3Cu2 for λ = 1.5418 Å (Cu Kα), from the PBE geometry in Alexandria.
Lines closer than 0.1° are merged.

Structure:
Cell lengths 12.4313, 3.5754, 8.9603 Å; angles 90.00, 117.19, 90.00 degrees
Fractional coordinates of all 14 atoms:
1 Tb 0.1552 0.0000 0.3131
2 Tb 0.3448 0.5000 0.6869
3 Tb 0.6552 0.5000 0.3131
4 Tb 0.8448 0.0000 0.6869
5 Tm 0.0000 0.5000 0.5000
6 Tm 0.1146 0.5000 0.9436
7 Tm 0.3854 0.0000 0.0564
8 Tm 0.5000 0.0000 0.5000
9 Tm 0.6146 0.0000 0.9436
10 Tm 0.8854 0.5000 0.0564
11 Cu 0.1690 0.0000 0.7317
12 Cu 0.3310 0.5000 0.2683
13 Cu 0.6690 0.5000 0.7317
14 Cu 0.8310 0.0000 0.2683

The 8 most intense peaks (5 to 70 degrees two-theta), most intense first:
two_theta	d_spacing	I_rel
33.13	2.704	100
29.95	2.984	52
32.10	2.788	50
35.01	2.563	49
37.08	2.425	30
34.52	2.598	29
28.95	3.084	24
58.11	1.588	21

=====

No. 5
Computed X-ray powder pattern of Tb2Y3Cu3 for λ = 1.5418 Å (Cu Kα), from the PBE geometry in Alexandria.
Lines closer than 0.1° are merged.

Structure:
Cell lengths 3.5554, 5.1145, 20.9460 Å; angles 90.00, 90.00, 90.00 degrees
Fractional coordinates of all 16 atoms:
1 Tb 0.0000 0.0000 0.2260
2 Tb 0.0000 0.0000 0.7740
3 Tb 0.5000 0.5000 0.2740
4 Tb 0.5000 0.5000 0.7260
5 Y 0.0000 0.0000 0.0000
6 Y 0.0000 0.5000 0.1157
7 Y 0.0000 0.5000 0.8843
8 Y 0.5000 0.0000 0.3843
9 Y 0.5000 0.0000 0.6157
10 Y 0.5000 0.5000 0.5000
11 Cu 0.0000 0.0000 0.5000
12 Cu 0.0000 0.5000 0.3853
13 Cu 0.0000 0.5000 0.6147
14 Cu 0.5000 0.0000 0.1147
15 Cu 0.5000 0.0000 0.8853
16 Cu 0.5000 0.5000 0.0000

The 8 most intense peaks (5 to 70 degrees two-theta), most intense first:
two_theta	d_spacing	I_rel
35.20	2.550	100
35.09	2.557	30
63.02	1.475	18
34.25	2.618	16
27.52	3.241	13
8.44	10.473	12
49.85	1.829	10
63.76	1.460	10

=====

No. 6
Computed X-ray powder pattern of TbY3Cu for λ = 1.5418 Å (Cu Kα), from the PBE geometry in Alexandria.
Lines closer than 0.1° are merged.

Structure:
Cell lengths 7.1414, 7.1414, 7.8484 Å; angles 120.17, 120.17, 72.61 degrees
Fractional coordinates of all 10 atoms:
1 Tb 0.0789 0.0789 0.2773
2 Tb 0.9211 0.9211 0.7227
3 Y 0.0053 0.4046 0.7385
4 Y 0.4046 0.0053 0.7385
5 Y 0.4631 0.4631 0.6971
6 Y 0.5369 0.5369 0.3029
7 Y 0.5954 0.9947 0.2615
8 Y 0.9947 0.5954 0.2615
9 Cu 0.2256 0.2256 0.0787
10 Cu 0.7744 0.7744 0.9213

The 8 most intense peaks (5 to 70 degrees two-theta), most intense first:
two_theta	d_spacing	I_rel
31.14	2.872	100
37.87	2.376	58
29.11	3.068	52
32.76	2.734	45
28.98	3.081	41
33.80	2.652	32
36.03	2.493	32
51.26	1.782	31

=====

Q: What is the formula in the second record?
A: Tb4TmCu4